Record 1
The following is a simulated powder diffraction line list of LiMg2Al. It was derived from the GGA-PBE geometry in the Materials Project, using Cu Ka.

Atomic structure:
Cell: 2.897 5.219 11.805 Å, 90.00 90.00 90.00°
Space group Immm (No. 71)
Inequivalent atoms, fractional coordinates:
Li1 0.000 0.000 0.000 [2 per cell]
Mg1 0.000 0.000 0.252 [4 per cell]
Al1 0.000 0.000 0.500 [2 per cell]

The 6 most intense peaks (10° ≤ 2θ ≤ 80°), by intensity:
2θ/deg  d/Å  intensity  index
35.4  2.533  100.0  1 1 0
47.3  1.922  85.8  1 1 4
30.3  2.951  77.3  0 0 4
34.4  2.609  54.5  0 2 0
46.5  1.955  45.3  0 2 4
18.6  4.773  40.8  0 1 1

---

Record 2
The following is a simulated powder diffraction line list of CeGaAg. It was derived from the GGA-PBE geometry in the Materials Project, using Cu Ka.

Atomic structure:
Cell: 10.520 4.674 7.322 Å, 90.00 131.83 90.00°
Space group C2/m (No. 12)
Inequivalent atoms, fractional coordinates:
Ce1 0.032 0.000 0.291 [4 per cell]
Ga1 0.159 0.500 0.112 [4 per cell]
Ag1 0.172 0.500 0.724 [4 per cell]

The 6 most intense peaks (10° ≤ 2θ ≤ 80°), by intensity:
2θ/deg  d/Å  intensity  index
32.8  2.730  100.0  0 0 2
33.5  2.678  96.2  3 1 -2
39.5  2.281  94.9  3 1 0
38.5  2.337  60.3  0 2 0
31.9  2.808  38.3  1 1 1
34.2  2.624  28.5  4 0 -2

---

Record 3
The following is a simulated powder diffraction line list of Lu6MnSb2. It was derived from the GGA-PBE geometry in the Materials Project, using Cu Ka.

Atomic structure:
Cell: 7.9878 7.9878 4.1745 Å, 90.00 90.00 120.00°
Space group P-62m (No. 189)
Inequivalent atoms, fractional coordinates:
Lu1 0.0000 0.2351 0.0000 [3 per cell]
Lu2 0.0000 0.6051 0.5000 [3 per cell]
Mn1 0.0000 0.0000 0.5000 [1 per cell]
Sb1 0.3333 0.6667 0.0000 [2 per cell]

The 6 most intense peaks (10° ≤ 2θ ≤ 80°), by intensity:
2θ/deg  d/Å  intensity  index
31.0  2.886  100.0  1 1 1
34.3  2.615  59.6  2 1 0
33.7  2.663  52.6  2 0 1
56.4  1.631  29.1  2 1 2
40.7  2.216  25.3  2 1 1
39.1  2.306  22.7  3 0 0

---

Record 4
The following is a simulated powder diffraction line list of Cs2LiIrC6N6. It was derived from the GGA-PBE geometry in the Materials Project, using Cu Ka.

Atomic structure:
Cell: 10.860 10.860 10.860 Å, 90.00 90.00 90.00°
Space group Fm-3m (No. 225)
Inequivalent atoms, fractional coordinates:
Cs1 0.250 0.250 0.250 [8 per cell]
Li1 0.000 0.000 0.000 [4 per cell]
Ir1 0.000 0.000 0.500 [4 per cell]
C1 0.000 0.000 0.314 [24 per cell]
N1 0.000 0.000 0.206 [24 per cell]

The 6 most intense peaks (10° ≤ 2θ ≤ 80°), by intensity:
2θ/deg  d/Å  intensity  index
23.2  3.839  100.0  2 2 0
14.1  6.270  40.1  1 1 1
40.7  2.217  39.3  4 2 2
33.0  2.715  36.2  4 0 0
64.2  1.451  26.7  6 4 2
53.4  1.717  26.3  6 2 0

---

Record 5
The following is a simulated powder diffraction line list of CuAg2O2. It was derived from the GGA-PBE geometry in the Materials Project, using Cu Ka.

Atomic structure:
Cell: 2.944 4.523 10.061 Å, 90.00 90.00 90.00°
Space group Immm (No. 71)
Inequivalent atoms, fractional coordinates:
Cu1 0.000 0.000 0.000 [2 per cell]
Ag1 0.000 0.000 0.351 [4 per cell]
O1 0.000 0.500 0.370 [4 per cell]

The 6 most intense peaks (10° ≤ 2θ ≤ 80°), by intensity:
2θ/deg  d/Å  intensity  index
33.3  2.694  100.0  0 1 3
36.4  2.467  80.9  1 1 0
40.8  2.213  80.5  1 0 3
58.3  1.581  51.7  1 2 3
39.9  2.261  48.7  0 2 0
73.3  1.292  23.1  2 1 3

---

Record 6
The following is a simulated powder diffraction line list of PuInO3. It was derived from the GGA-PBE geometry in the Materials Project, using Cu Ka.

Atomic structure:
Cell: 4.149 4.149 4.149 Å, 90.00 90.00 90.00°
Space group Pm-3m (No. 221)
Inequivalent atoms, fractional coordinates:
Pu1 0.000 0.000 0.000 [1 per cell]
In1 0.500 0.500 0.500 [1 per cell]
O1 0.000 0.500 0.500 [3 per cell]

The 6 most intense peaks (10° ≤ 2θ ≤ 80°), by intensity:
2θ/deg  d/Å  intensity  index
30.5  2.934  100.0  1 1 0
54.2  1.694  41.2  2 1 1
43.6  2.074  26.9  2 0 0
72.0  1.312  18.0  3 1 0
63.4  1.467  17.1  2 2 0
21.4  4.149  9.7  1 0 0

---

Record 7
The following is a simulated powder diffraction line list of W. It was derived from the GGA-PBE geometry in the Materials Project, using Cu Ka.

Atomic structure:
Cell: 2.7829 2.7829 4.9541 Å, 90.00 90.00 120.00°
Space group P6_3/mmc (No. 194)
Inequivalent atoms, fractional coordinates:
W1 0.3333 0.6667 0.2500 [2 per cell]

The 6 most intense peaks (10° ≤ 2θ ≤ 80°), by intensity:
2θ/deg  d/Å  intensity  index
41.7  2.167  100.0  1 0 1
36.3  2.477  32.5  0 0 2
68.9  1.362  22.9  1 0 3
37.3  2.410  22.6  1 0 0
78.9  1.213  21.1  1 1 2
53.0  1.727  16.7  1 0 2

---

Record 8
The following is a simulated powder diffraction line list of CeCdAg2. It was derived from the GGA-PBE geometry in the Materials Project, using Cu Ka.

Atomic structure:
Cell: 7.145 7.145 7.145 Å, 90.00 90.00 90.00°
Space group Fm-3m (No. 225)
Inequivalent atoms, fractional coordinates:
Ce1 0.000 0.000 0.000 [4 per cell]
Cd1 0.000 0.000 0.500 [4 per cell]
Ag1 0.250 0.250 0.250 [8 per cell]

The 5 most intense peaks (10° ≤ 2θ ≤ 80°), by intensity:
2θ/deg  d/Å  intensity  index
35.5  2.526  100.0  2 2 0
63.8  1.458  34.3  4 2 2
51.1  1.786  17.2  4 0 0
75.2  1.263  10.5  4 4 0
21.5  4.125  0.6  1 1 1

---

Record 9
The following is a simulated powder diffraction line list of BaTa4O11. It was derived from the GGA-PBE geometry in the Materials Project, using Cu Ka.

Atomic structure:
Cell: 6.3696 6.3696 12.5917 Å, 90.00 90.00 120.00°
Space group P6_322 (No. 182)
Inequivalent atoms, fractional coordinates:
Ba1 0.3333 0.6667 0.2500 [2 per cell]
Ta1 0.0000 0.3540 0.5000 [6 per cell]
Ta2 0.3333 0.6667 0.7500 [2 per cell]
O1 0.0000 0.2417 0.0000 [6 per cell]
O2 0.0728 0.4342 0.6520 [12 per cell]
O3 0.3333 0.6667 0.0331 [4 per cell]

The 6 most intense peaks (10° ≤ 2θ ≤ 80°), by intensity:
2θ/deg  d/Å  intensity  index
31.5  2.842  100.0  1 1 2
28.9  3.088  88.3  1 1 1
28.4  3.148  51.5  0 0 4
58.1  1.588  41.0  3 0 4
16.1  5.516  39.8  1 0 0
49.6  1.839  36.8  3 0 0

---

Record 10
The following is a simulated powder diffraction line list of MnP4. It was derived from the GGA-PBE geometry in the Materials Project, using Cu Ka.

Atomic structure:
Cell: 5.104 10.547 10.882 Å, 90.00 93.75 90.00°
Space group Cc (No. 9)
Inequivalent atoms, fractional coordinates:
Mn1 0.000 0.100 0.000 [4 per cell]
Mn2 0.281 0.272 0.278 [4 per cell]
P1 0.075 0.072 0.803 [4 per cell]
P2 0.086 0.380 0.788 [4 per cell]
P3 0.196 0.246 0.479 [4 per cell]
P4 0.211 0.445 0.978 [4 per cell]
P5 0.303 0.253 0.059 [4 per cell]
P6 0.312 0.050 0.543 [4 per cell]
P7 0.471 0.082 0.737 [4 per cell]
P8 0.482 0.384 0.712 [4 per cell]

The 6 most intense peaks (10° ≤ 2θ ≤ 80°), by intensity:
2θ/deg  d/Å  intensity  index
32.3  2.770  100.0  1 3 1
33.0  2.715  63.1  0 0 4
20.6  4.317  41.0  1 1 -1
53.7  1.707  40.1  1 3 5
49.8  1.832  25.5  2 4 0
45.1  2.009  22.9  1 1 -5